Simulated powder XRD pattern
Compound: CaPrErCd
Radiation: a wavelength of 1.5418 Å
Structure: DFT lattice parameters and positions (GGA-PBE)
Peak positions follow from Bragg's law for the DFT cell and can differ from measured ones.

Structure:
```
CaPrErCd
1.0
3.6515 0.0000 0.0000
0.0000 3.6515 0.0000
0.0000 0.0000 9.4660
Ca Pr Er Cd
1 1 1 1
direct
0.0000 0.0000 0.0000
0.5000 0.5000 0.3138
0.0000 0.0000 0.5750
0.5000 0.5000 0.7764
```

Most intense lines, 2θ from 10° to 90°, by angle:
- (1 0 2), d 2.891, I 100
- (1 1 0), d 2.582, I 41
- (1 0 3), d 2.387, I 15
- (2 0 0), d 1.826, I 14
- (1 1 4), d 1.745, I 16
- (2 1 2), d 1.544, I 30